Record 1
# YErGe2Au2
Theoretical X-ray diffraction stick pattern, Cu Kα, 1.54184 Å. Input: a PBE-relaxed structure.

Peak list (10 most intense, 10° ≤ 2θ ≤ 90°, in order of rising 2θ)
d [Å], I/Imax, (hkl)
3.419, 47, 0 1 1
2.656, 100, 0 1 2
2.233, 79, 1 1 0
2.061, 27, 1 0 3
1.709, 27, 2 0 2
1.414, 19, 1 1 4
1.367, 11, 1 0 5
1.357, 25, 1 2 2
1.289, 14, 3 0 0
1.254, 11, 2 1 3

Atomic structure:
abc: 4.4660 4.4660 7.3091
angles: 90.00 90.00 120.00
Space group P3m1 (No. 156)
Unique sites:
Y 0.0000 0.0000 0.0000 [1 per cell]
Er 0.0000 0.0000 0.5009 [1 per cell]
Ge 0.3333 0.6667 0.2960 [1 per cell]
Ge 0.6667 0.3333 0.7927 [1 per cell]
Au 0.3333 0.6667 0.7056 [1 per cell]
Au 0.6667 0.3333 0.2187 [1 per cell]



Record 2
# Ho2ErIn3Pd2Au
Theoretical X-ray diffraction stick pattern, Cu Kα, 1.54184 Å. Input: a PBE-relaxed structure.

Peak list (10 most intense, 10° ≤ 2θ ≤ 90°, in order of rising 2θ)
d [Å], I/Imax, (hkl)
3.371, 15, 0 2 2
2.717, 91, 1 3 1
2.548, 36, 0 1 3
2.520, 100, 1 4 0
2.247, 53, 0 6 0
2.115, 30, 1 4 2
1.897, 23, 2 0 0
1.449, 26, 2 6 0
1.432, 39, 1 7 3
1.271, 16, 1 10 0

Atomic structure:
abc: 3.793 13.478 7.789
angles: 90.00 90.00 90.00
Space group Amm2 (No. 38)
Unique sites:
Ho 0.000 0.203 0.000 [4 per cell]
Er 0.000 0.000 0.608 [2 per cell]
In 0.500 0.000 0.932 [2 per cell]
In 0.500 0.135 0.338 [4 per cell]
Pd 0.500 0.166 0.703 [4 per cell]
Au 0.000 0.000 0.203 [2 per cell]



Record 3
# HoErMg2Au4
Theoretical X-ray diffraction stick pattern, Cu Kα, 1.54184 Å. Input: a PBE-relaxed structure.

Peak list (10 most intense, 10° ≤ 2θ ≤ 90°, in order of rising 2θ)
d [Å], I/Imax, (hkl)
3.972, 20, 1 1 0
3.474, 16, 1 0 1
2.456, 52, 2 0 0
2.421, 100, 1 2 1
1.737, 18, 2 0 2
1.411, 37, 3 2 1
1.391, 18, 2 4 0
1.210, 11, 2 4 2
1.099, 9, 4 0 2
1.095, 9, 3 2 3

Atomic structure:
abc: 4.916 6.750 4.910
angles: 90.00 90.00 90.00
Space group Pmm2 (No. 25)
Unique sites:
Ho 0.000 0.000 0.000 [1 per cell]
Er 0.500 0.500 0.482 [1 per cell]
Mg 0.000 0.500 0.993 [1 per cell]
Mg 0.500 0.000 0.489 [1 per cell]
Au 0.000 0.250 0.501 [2 per cell]
Au 0.500 0.252 0.981 [2 per cell]



Record 4
# HoEr2Mg3Pt2Au
Theoretical X-ray diffraction stick pattern, Cu Kα, 1.54184 Å. Input: a PBE-relaxed structure.

Peak list (10 most intense, 10° ≤ 2θ ≤ 90°, in order of rising 2θ)
d [Å], I/Imax, (hkl)
3.704, 47, 0 3 1
3.416, 24, 1 1 1
2.729, 59, 1 0 2
2.511, 100, 1 2 2
2.139, 34, 0 3 3
2.079, 33, 1 5 1
2.018, 21, 2 0 0
1.628, 17, 1 2 4
1.468, 21, 2 3 3
1.383, 24, 1 8 2

Atomic structure:
abc: 4.035 12.835 7.407
angles: 90.00 90.00 90.00
Space group Amm2 (No. 38)
Unique sites:
Ho 0.000 0.000 0.000 [2 per cell]
Er 0.000 0.208 0.625 [4 per cell]
Mg 0.500 0.000 0.668 [2 per cell]
Mg 0.500 0.126 0.291 [4 per cell]
Pt 0.500 0.167 0.916 [4 per cell]
Au 0.000 0.000 0.417 [2 per cell]



Record 5
# ErMgAuSe2S
Theoretical X-ray diffraction stick pattern, Cu Kα, 1.54184 Å. Input: a PBE-relaxed structure.

Peak list (10 most intense, 10° ≤ 2θ ≤ 90°, in order of rising 2θ)
d [Å], I/Imax, (hkl)
6.530, 86, 0 2 0
3.011, 54, 1 1 2
2.775, 14, 1 3 1
2.614, 20, 0 0 4
2.522, 100, 1 3 2
2.427, 24, 0 2 4
2.041, 15, 0 4 4
1.996, 27, 1 5 2
1.920, 17, 2 0 0
1.575, 19, 1 1 6

Atomic structure:
abc: 3.839 13.060 10.456
angles: 90.00 90.00 90.00
Space group Cmcm (No. 63)
Unique sites:
Er 0.000 0.000 0.000 [4 per cell]
Mg 0.000 0.245 0.250 [4 per cell]
Au 0.000 0.480 0.750 [4 per cell]
Se 0.000 0.347 0.567 [8 per cell]
S 0.000 0.113 0.750 [4 per cell]



Record 6
# ErMgAuSeS2
Theoretical X-ray diffraction stick pattern, Cu Kα, 1.54184 Å. Input: a PBE-relaxed structure.

Peak list (10 most intense, 10° ≤ 2θ ≤ 90°, in order of rising 2θ)
d [Å], I/Imax, (hkl)
6.735, 32, 0 2 0
5.683, 37, 0 2 1
4.162, 40, 0 2 2
3.583, 55, 1 1 1
3.091, 40, 1 1 2
2.974, 100, 1 3 0
2.863, 34, 1 3 1
2.841, 44, 0 4 2
2.647, 53, 0 0 4
1.977, 58, 1 3 4

Atomic structure:
abc: 3.970 13.469 10.589
angles: 90.00 90.00 90.00
Space group Cmcm (No. 63)
Unique sites:
Er 0.000 0.000 0.000 [4 per cell]
Mg 0.000 0.298 0.250 [4 per cell]
Au 0.000 0.356 0.750 [4 per cell]
Se 0.000 0.079 0.750 [4 per cell]
S 0.000 0.364 0.530 [8 per cell]



Record 7
# Er3Zn3NiAu2
Theoretical X-ray diffraction stick pattern, Cu Kα, 1.54184 Å. Input: a PBE-relaxed structure.

Peak list (10 most intense, 10° ≤ 2θ ≤ 90°, in order of rising 2θ)
d [Å], I/Imax, (hkl)
6.247, 14, 0 1 1
3.607, 21, 0 0 2
2.650, 100, 1 3 1
2.440, 55, 1 2 2
2.361, 29, 0 5 1
2.082, 31, 0 6 0
2.021, 21, 1 5 1
1.954, 19, 2 0 0
1.425, 18, 2 6 0
1.345, 18, 1 8 2

Atomic structure:
abc: 3.908 12.494 7.213
angles: 90.00 90.00 90.00
Space group Amm2 (No. 38)
Unique sites:
Er 0.000 0.000 0.000 [2 per cell]
Er 0.000 0.197 0.593 [4 per cell]
Zn 0.500 0.000 0.627 [2 per cell]
Zn 0.500 0.115 0.281 [4 per cell]
Ni 0.000 0.000 0.396 [2 per cell]
Au 0.500 0.167 0.896 [4 per cell]



Record 8
# ErAuSeO
Theoretical X-ray diffraction stick pattern, Cu Kα, 1.54184 Å. Input: a PBE-relaxed structure.

Peak list (10 most intense, 10° ≤ 2θ ≤ 90°, in order of rising 2θ)
d [Å], I/Imax, (hkl)
4.019, 100, 1 1 0
3.742, 35, 1 1 1
3.288, 65, 1 1 -2
3.206, 56, 1 1 2
2.751, 70, 0 2 1
2.748, 80, 1 1 -3
2.676, 83, 1 1 3
2.540, 39, 1 2 0
2.206, 44, 0 0 5
2.008, 74, 2 2 0

Atomic structure:
abc: 5.684 5.678 11.036
angles: 90.00 92.14 90.00
Space group P2_1 (No. 4)
Unique sites:
Er 0.006 0.000 0.092 [2 per cell]
Er 0.493 0.002 0.908 [2 per cell]
Au 0.003 0.023 0.730 [2 per cell]
Au 0.316 0.277 0.503 [2 per cell]
Se 0.303 0.222 0.285 [2 per cell]
Se 0.309 0.326 0.723 [2 per cell]
O 0.249 0.250 0.002 [2 per cell]
O 0.252 0.750 0.000 [2 per cell]